This entry pairs a crystal structure of Cs3LiF3 with its computed PXRD pattern. Radiation: Cu Kα (weighted mean of Kα1 and Kα2). Structure: a structure optimized by DFT (PBE).

Peak list (12 most intense, 2θ = 10–80°, most intense first)
| 2theta | intensity |
| --- | --- |
| 24.04 | 100 |
| 38.97 | 39 |
| 30.20 | 38 |
| 17.30 | 37 |
| 50.08 | 25 |
| 45.70 | 24 |
| 33.47 | 15 |
| 54.43 | 13 |
| 37.91 | 10 |
| 71.93 | 9 |
| 63.52 | 9 |
| 35.02 | 9 |

Crystal structure
```
14
Lattice="10.250 0.000 0.000 -5.125 8.877 0.000 0.000 0.000 5.355" Properties=species:S:1:pos:R:3 pbc="T T T"
Cs -3.266 5.959 1.339
Cs 1.597 3.069 1.339
Cs 3.456 0.151 4.016
Cs 1.669 8.725 1.339
Cs 3.528 5.808 4.016
Cs 8.391 2.918 4.016
Li 0.000 5.918 4.016
Li 5.125 2.959 1.339
F -1.829 5.970 4.016
F 0.869 4.308 4.016
F 4.165 1.401 1.339
F 0.960 7.476 4.016
F 4.256 4.569 1.339
F 6.954 2.906 1.339
```

***

This entry pairs a crystal structure of Cs3Li2F5 with its computed PXRD pattern. Radiation: Cu Kα (weighted mean of Kα1 and Kα2). Structure: a structure optimized by DFT (PBE).

Peak list (12 most intense, 2θ = 10–80°, most intense first)
| 2theta | intensity |
| --- | --- |
| 24.42 | 100 |
| 30.42 | 60 |
| 31.43 | 40 |
| 38.76 | 36 |
| 29.09 | 30 |
| 43.56 | 30 |
| 44.30 | 30 |
| 50.57 | 28 |
| 54.69 | 22 |
| 23.44 | 20 |
| 49.17 | 19 |
| 65.60 | 17 |

Crystal structure
```
10
Lattice="0.000 11.387 2.938 2.938 0.000 2.938 2.938 11.387 0.000" Properties=species:S:1:pos:R:3 pbc="T T T"
Cs 0.000 0.000 0.000
Cs 2.938 8.248 2.919
Cs 2.938 14.526 2.919
Li 2.938 5.093 2.916
Li 2.938 17.681 2.916
F 2.938 3.161 2.918
F 1.469 5.694 1.444
F 2.938 11.387 2.940
F 4.407 17.081 4.382
F 2.938 19.614 2.918
```

***

This entry pairs a crystal structure of CsLiF2 with its computed PXRD pattern. Radiation: Cu Kα (weighted mean of Kα1 and Kα2). Structure: a structure optimized by DFT (PBE).

Peak list (12 most intense, 2θ = 10–80°, most intense first)
| 2theta | intensity |
| --- | --- |
| 24.14 | 100 |
| 30.76 | 51 |
| 37.75 | 49 |
| 30.56 | 38 |
| 32.25 | 30 |
| 44.06 | 30 |
| 50.86 | 27 |
| 45.17 | 26 |
| 21.34 | 25 |
| 32.63 | 24 |
| 55.64 | 23 |
| 49.06 | 17 |

Crystal structure
```
8
Lattice="4.111 0.000 0.000 0.000 4.111 0.000 0.000 0.000 8.326" Properties=species:S:1:pos:R:3 pbc="T T T"
Cs 1.028 1.028 1.570
Cs 3.083 3.083 6.756
Li 1.028 1.028 4.752
Li 3.083 3.083 3.574
F 1.028 1.028 6.687
F 1.028 3.083 4.163
F 3.083 1.028 4.163
F 3.083 3.083 1.639
```

***

This entry pairs a crystal structure of CsLiF3 with its computed PXRD pattern. Radiation: Cu Kα (weighted mean of Kα1 and Kα2). Structure: a structure optimized by DFT (PBE).

Peak list (12 most intense, 2θ = 10–80°, most intense first)
| 2theta | intensity |
| --- | --- |
| 33.74 | 100 |
| 15.30 | 92 |
| 26.74 | 80 |
| 38.11 | 68 |
| 40.42 | 64 |
| 37.24 | 52 |
| 29.82 | 51 |
| 21.80 | 48 |
| 25.44 | 40 |
| 61.62 | 34 |
| 46.38 | 28 |
| 30.88 | 25 |

Crystal structure
```
5
Lattice="3.502 0.000 0.000 0.000 4.078 0.000 0.000 0.000 5.792" Properties=species:S:1:pos:R:3 pbc="T T T"
Cs 0.000 0.000 0.000
Li 0.000 2.039 2.896
F 0.000 0.000 2.896
F 1.751 2.039 1.608
F 1.751 2.039 4.184
```

***

This entry pairs a crystal structure of Cs2Li3F5 with its computed PXRD pattern. Radiation: Cu Kα (weighted mean of Kα1 and Kα2). Structure: a structure optimized by DFT (PBE).

Peak list (12 most intense, 2θ = 10–80°, most intense first)
| 2theta | intensity |
| --- | --- |
| 21.11 | 100 |
| 32.46 | 90 |
| 24.79 | 89 |
| 10.57 | 73 |
| 28.43 | 47 |
| 19.08 | 45 |
| 26.95 | 44 |
| 28.21 | 41 |
| 29.11 | 40 |
| 37.63 | 40 |
| 20.20 | 40 |
| 35.35 | 38 |

Crystal structure
```
20
Lattice="5.549 0.000 0.000 -0.039 7.728 0.000 -0.876 -3.377 8.372" Properties=species:S:1:pos:R:3 pbc="T T T"
Cs 0.665 2.197 2.341
Cs 0.997 5.043 5.063
Cs 3.636 -0.691 3.309
Cs 3.968 2.155 6.032
Li 0.872 5.741 0.826
Li 1.091 0.236 6.584
Li 1.551 -2.136 8.359
Li 3.082 6.487 0.014
Li 3.543 4.115 1.788
Li 3.762 -1.390 7.546
F 0.115 -1.202 7.534
F 0.459 0.394 4.758
F 0.984 1.951 7.491
F 1.801 -0.243 0.992
F 1.816 4.826 2.158
F 2.818 -0.475 6.215
F 2.833 4.594 7.380
F 3.650 2.400 0.881
F 4.175 3.957 3.614
F 4.519 5.553 0.838
```

***

This entry pairs a crystal structure of Cs2Li3F5 with its computed PXRD pattern. Radiation: Cu Kα (weighted mean of Kα1 and Kα2). Structure: a structure optimized by DFT (PBE).

Peak list (12 most intense, 2θ = 10–80°, most intense first)
| 2theta | intensity |
| --- | --- |
| 31.34 | 100 |
| 25.29 | 64 |
| 28.10 | 63 |
| 38.16 | 63 |
| 44.07 | 62 |
| 26.05 | 46 |
| 23.65 | 36 |
| 22.06 | 24 |
| 53.09 | 21 |
| 34.98 | 21 |
| 44.83 | 20 |
| 52.17 | 18 |

Crystal structure
```
10
Lattice="4.043 0.000 0.000 0.000 2.054 10.260 0.000 -2.054 10.260" Properties=species:S:1:pos:R:3 pbc="T T T"
Cs 0.000 0.000 0.000
Cs 2.022 0.000 7.154
Li 0.000 0.000 3.138
Li 0.000 0.000 15.250
Li 2.022 0.000 12.466
F 0.000 0.000 4.976
F 0.000 0.000 13.226
F 0.000 0.000 17.225
F 2.022 0.000 2.434
F 2.022 0.000 10.450
```

***

This entry pairs a crystal structure of Cs2Li2MgF6 with its computed PXRD pattern. Radiation: Cu Kα (weighted mean of Kα1 and Kα2). Structure: a structure optimized by DFT (PBE).

Peak list (12 most intense, 2θ = 10–80°, most intense first)
| 2theta | intensity |
| --- | --- |
| 29.70 | 100 |
| 19.86 | 81 |
| 35.87 | 66 |
| 30.70 | 61 |
| 30.36 | 50 |
| 40.35 | 45 |
| 26.36 | 44 |
| 19.64 | 40 |
| 39.91 | 35 |
| 36.10 | 33 |
| 39.57 | 29 |
| 61.68 | 29 |

Crystal structure
```
11
Lattice="5.212 -3.007 0.000 5.212 3.007 0.000 -3.379 0.000 5.886" Properties=species:S:1:pos:R:3 pbc="T T T"
Cs 1.742 0.000 0.966
Cs 5.304 0.000 4.920
Li 1.824 0.000 4.184
Li 5.222 0.000 1.702
Mg -1.689 0.000 2.943
F 0.011 0.000 4.088
F 2.733 1.569 4.169
F 4.313 1.569 1.717
F 2.733 -1.569 4.169
F 4.313 -1.569 1.717
F 7.035 0.000 1.798
```

***

This entry pairs a crystal structure of CsLiN2F8 with its computed PXRD pattern. Radiation: Cu Kα (weighted mean of Kα1 and Kα2). Structure: a structure optimized by DFT (PBE).

Peak list (12 most intense, 2θ = 10–80°, most intense first)
| 2theta | intensity |
| --- | --- |
| 18.12 | 100 |
| 25.78 | 99 |
| 25.55 | 84 |
| 35.03 | 69 |
| 34.22 | 68 |
| 38.96 | 57 |
| 31.92 | 53 |
| 27.31 | 50 |
| 13.19 | 46 |
| 28.01 | 43 |
| 36.74 | 38 |
| 45.92 | 33 |

Crystal structure
```
12
Lattice="4.336 -3.185 0.000 4.336 3.185 0.000 -3.584 0.000 6.713" Properties=species:S:1:pos:R:3 pbc="T T T"
Cs 0.000 0.000 0.000
Li 2.544 0.000 3.356
N -0.983 0.000 4.666
N 6.070 0.000 2.047
F 2.011 1.310 1.969
F -0.092 0.000 3.619
F -0.140 0.000 5.770
F 3.077 1.310 4.744
F 2.011 -1.310 1.969
F 5.227 0.000 0.942
F 5.179 0.000 3.094
F 3.077 -1.310 4.744
```

***

This entry pairs a crystal structure of CsLiPdF6 with its computed PXRD pattern. Radiation: Cu Kα (weighted mean of Kα1 and Kα2). Structure: a structure optimized by DFT (PBE).

Peak list (12 most intense, 2θ = 10–80°, most intense first)
| 2theta | intensity |
| --- | --- |
| 23.40 | 100 |
| 43.44 | 32 |
| 19.10 | 23 |
| 54.01 | 18 |
| 41.17 | 17 |
| 33.39 | 15 |
| 59.65 | 13 |
| 45.56 | 13 |
| 33.26 | 12 |
| 57.65 | 10 |
| 68.28 | 9 |
| 66.43 | 9 |

Crystal structure
```
9
Lattice="5.367 0.000 0.000 -2.683 4.648 0.000 0.000 0.000 6.611" Properties=species:S:1:pos:R:3 pbc="T T T"
Cs 0.000 0.000 0.000
Li 2.683 1.549 3.306
Pd 0.000 3.099 3.306
F -0.904 1.757 2.206
F -1.614 2.986 4.405
F 0.904 1.757 4.405
F -0.710 4.553 2.206
F 1.614 2.986 2.206
F 0.710 4.553 4.405
```

***

This entry pairs a crystal structure of Cs2LiScF6 with its computed PXRD pattern. Radiation: Cu Kα (weighted mean of Kα1 and Kα2). Structure: a structure optimized by DFT (PBE).

Peak list (12 most intense, 2θ = 10–80°, most intense first)
| 2theta | intensity |
| --- | --- |
| 28.75 | 100 |
| 35.50 | 83 |
| 28.99 | 49 |
| 41.46 | 44 |
| 20.39 | 43 |
| 51.23 | 39 |
| 59.54 | 27 |
| 40.76 | 23 |
| 20.05 | 22 |
| 50.79 | 20 |
| 71.76 | 18 |
| 60.07 | 13 |

Crystal structure
```
10
Lattice="-3.080 3.080 4.428 3.080 -3.080 4.428 3.080 3.080 -4.428" Properties=species:S:1:pos:R:3 pbc="T T T"
Cs 3.080 0.000 2.214
Cs 0.000 3.080 2.214
Li 0.000 0.000 0.000
Sc 0.000 0.000 4.428
F 1.620 1.620 0.000
F 1.461 -1.461 4.428
F 0.000 0.000 2.365
F 0.000 0.000 6.490
F -1.461 1.461 4.428
F 1.461 1.461 4.428
```

***

This entry pairs a crystal structure of Cs2SrLi2F6 with its computed PXRD pattern. Radiation: Cu Kα (weighted mean of Kα1 and Kα2). Structure: a structure optimized by DFT (PBE).

Peak list (12 most intense, 2θ = 10–80°, most intense first)
| 2theta | intensity |
| --- | --- |
| 28.04 | 100 |
| 29.21 | 49 |
| 24.65 | 46 |
| 38.37 | 38 |
| 16.66 | 34 |
| 36.94 | 24 |
| 33.68 | 22 |
| 18.92 | 21 |
| 40.14 | 21 |
| 25.61 | 20 |
| 51.38 | 15 |
| 43.53 | 14 |

Crystal structure
```
11
Lattice="5.532 -3.177 0.000 5.532 3.177 0.000 -3.356 0.000 6.234" Properties=species:S:1:pos:R:3 pbc="T T T"
Cs 1.783 0.000 1.071
Cs 5.925 0.000 5.163
Sr -1.678 0.000 3.117
Li 2.251 0.000 4.675
Li 5.457 0.000 1.560
F 4.506 1.537 1.444
F 0.538 0.000 4.105
F 3.202 1.537 4.791
F 4.506 -1.537 1.444
F 7.170 0.000 2.129
F 3.202 -1.537 4.791
```

***

This entry pairs a crystal structure of Cs2SrLiF6 with its computed PXRD pattern. Radiation: Cu Kα (weighted mean of Kα1 and Kα2). Structure: a structure optimized by DFT (PBE).

Peak list (12 most intense, 2θ = 10–80°, most intense first)
| 2theta | intensity |
| --- | --- |
| 27.74 | 100 |
| 26.62 | 58 |
| 38.00 | 51 |
| 33.69 | 48 |
| 47.70 | 45 |
| 21.33 | 26 |
| 57.30 | 22 |
| 18.74 | 21 |
| 41.00 | 17 |
| 54.83 | 16 |
| 41.21 | 16 |
| 49.74 | 15 |

Crystal structure
```
10
Lattice="4.735 0.000 0.000 0.000 4.735 0.000 0.000 0.000 8.763" Properties=species:S:1:pos:R:3 pbc="T T T"
Cs 0.000 0.000 1.993
Cs 0.000 0.000 6.769
Sr 2.368 2.368 4.381
Li 2.368 2.368 0.000
F 0.000 2.368 0.000
F 0.000 2.368 4.381
F 2.368 0.000 0.000
F 2.368 0.000 4.381
F 2.368 2.368 1.914
F 2.368 2.368 6.849
```

***

This entry pairs a crystal structure of CsLi2TaF8 with its computed PXRD pattern. Radiation: Cu Kα (weighted mean of Kα1 and Kα2). Structure: a structure optimized by DFT (PBE).

Peak list (12 most intense, 2θ = 10–80°, most intense first)
| 2theta | intensity |
| --- | --- |
| 20.54 | 100 |
| 24.60 | 84 |
| 40.98 | 54 |
| 33.22 | 36 |
| 59.34 | 33 |
| 23.31 | 30 |
| 36.83 | 22 |
| 39.37 | 19 |
| 54.38 | 18 |
| 52.44 | 16 |
| 50.43 | 15 |
| 19.39 | 13 |

Crystal structure
```
12
Lattice="2.697 1.557 7.632 -2.697 1.557 7.632 0.000 -3.114 7.632" Properties=species:S:1:pos:R:3 pbc="T T T"
Cs 0.000 0.000 0.000
Li 0.000 0.000 5.993
Li 0.000 0.000 16.903
Ta 0.000 0.000 11.448
F -1.044 -1.202 10.360
F -1.563 0.303 12.536
F 0.000 0.000 7.721
F 0.519 -1.505 12.536
F -0.519 1.505 10.360
F 0.000 0.000 15.174
F 1.563 -0.303 10.360
F 1.044 1.202 12.536
```